Structure and simulated powder X-ray diffraction pattern of Zr6TiBi3 (the GGA-PBE geometry in Alexandria; Cu Ka).
No peak broadening, texture or thermal motion is included.

Structural model:
a b c (Å): 11.258 11.078 7.671
angles (deg): 90.00 90.00 90.00
Space group Cmc2_1 (No. 36)
Asymmetric unit:
Zr 0.000 0.155 0.000 (multiplicity 4)
Zr 0.000 0.179 0.458 (multiplicity 4)
Zr 0.153 0.467 0.472 (multiplicity 8)
Zr 0.238 0.247 0.236 (multiplicity 8)
Ti 0.000 0.367 0.196 (multiplicity 4)
Bi 0.000 0.363 0.759 (multiplicity 4)
Bi 0.146 0.010 0.724 (multiplicity 8)

Peak list (10 most intense, 10 to 90 degrees two-theta, in order of rising 2θ)
2θ = 16.0°, I 15.4, hkl 0 2 0; 2θ = 23.2°, I 21.7, hkl 0 0 2; 2θ = 25.4°, I 17.2, hkl 2 2 1; 2θ = 34.4°, I 100.0, hkl 3 1 2; 2θ = 34.6°, I 72.7, hkl 1 3 2; 2θ = 35.8°, I 42.0, hkl 4 2 0; 2θ = 36.1°, I 32.3, hkl 2 4 0; 2θ = 47.4°, I 18.9, hkl 0 0 4; 2θ = 60.8°, I 17.9, hkl 4 2 4; 2θ = 68.1°, I 22.8, hkl 7 3 2